Starting from a DFT-relaxed cell (PBE, Alexandria), the XRD peak list of BC3 was simulated for Cu Kα (λ = 1.5418 Å).

Atomic structure:
abc: 4.6302 2.5026 6.4179
angles: 90.00 92.54 90.00
Positions (direct):
B  0.0000  0.0000  0.0000
B  0.1583  0.5000  0.6622
B  0.3263  0.0000  0.3206
C  0.1910  0.5000  0.9095
C  0.3499  0.0000  0.5690
C  0.5108  0.5000  0.9839
C  0.5175  0.5000  0.2238
C  0.6663  0.0000  0.6548
C  0.6658  0.0000  0.9005
C  0.8213  0.5000  0.5748
C  0.8280  0.5000  0.3282
C  0.9819  0.0000  0.2538

Largest 10 diffraction maxima, by intensity, 15° ≤ 2θ ≤ 90°:
two_theta	intensity
43.2	100
42.1	49
42.3	48
71.9	26
72.2	26
73.3	13
76.1	12
89.0	8
89.2	8
19.2	8